This entry pairs a crystal structure of Mg6CoC with its computed powder diffraction line list. Radiation: Cu Kα (weighted mean of Kα1 and Kα2). Structure: DFT lattice parameters and positions (GGA-PBE).

Cell and atoms:
```
data_Mg6CoC
_cell_length_a 3.836
_cell_length_b 8.140
_cell_length_c 9.054
_cell_angle_alpha 90.00
_cell_angle_beta 90.00
_cell_angle_gamma 90.00
_symmetry_space_group_name_H-M 'A m m 2'
_symmetry_Int_Tables_number 38
_symmetry_space_group_name_Hall 'A 2 -2'
loop_
_atom_site_label
_atom_site_fract_x
_atom_site_fract_y
_atom_site_fract_z
Mg1 0.000 0.000 0.000
Mg2 0.000 0.000 0.378
Mg3 0.000 0.181 0.671
Mg4 0.500 0.248 0.930
Co1 0.500 0.000 0.184
C1 0.500 0.000 0.531
```

Largest 12 diffraction maxima, by angle, 2θ from 15° to 90°:
- 3.240 Å, 2θ 27.53, I 25
- 2.599 Å, 2θ 34.51, I 31
- 2.376 Å, 2θ 37.86, I 100
- 2.277 Å, 2θ 39.58, I 53
- 2.264 Å, 2θ 39.82, I 16
- 2.035 Å, 2θ 44.52, I 13
- 1.918 Å, 2θ 47.40, I 20
- 1.543 Å, 2θ 59.94, I 12
- 1.506 Å, 2θ 61.57, I 8
- 1.463 Å, 2θ 63.59, I 8
- 1.342 Å, 2θ 70.11, I 11
- 1.178 Å, 2θ 81.77, I 9